Theoretical PXRD pattern
Compound: Pm6Y8Pb
Radiation: copper Kα
Structure: a structure optimized by DFT (GGA-PBE)
Neutral-atom scattering factors, no anomalous dispersion.

Atomic structure:
Unit cell a=9.5043 b=9.5043 c=6.4408 alpha=90.00 beta=90.00 gamma=120.00
Fractional positions:
Pm 0.0913 0.6385 0.1814
Pm 0.3615 0.4528 0.1814
Pm 0.4528 0.0913 0.8186
Pm 0.5472 0.9087 0.1814
Pm 0.6385 0.5472 0.8186
Pm 0.9087 0.3615 0.8186
Y 0.0367 0.7734 0.6874
Y 0.2266 0.2633 0.6874
Y 0.2633 0.0367 0.3126
Y 0.3333 0.6667 0.6633
Y 0.6667 0.3333 0.3367
Y 0.7367 0.9633 0.6874
Y 0.7734 0.7367 0.3126
Y 0.9633 0.2266 0.3126
Pb 0.0000 0.0000 0.0000

Peak list (10 most intense, 10° ≤ 2θ ≤ 90°, sorted by position)
two_theta, intensity, (hkl)
25.69, 22, 0 2 1
27.70, 10, 0 0 2
28.70, 24, 2 1 0
29.79, 15, 0 1 2
31.95, 100, 3 -1 1
33.62, 25, 1 1 2
40.31, 15, 3 -1 2
50.36, 8, 2 3 1
50.83, 20, 4 1 0
61.31, 11, 2 4 1